1.
For MnCuAgCl5, a cell relaxed with PBE gives the simulated X-ray diffraction stick pattern in this record (copper Kα).
Peak positions follow from Bragg's law for the DFT cell and can differ from measured ones.

Crystal structure
Cell lengths 7.8782, 10.2825, 10.5872 Å; angles 90.00, 95.67, 90.00 degrees
Space group C2/c (No. 15)
Symmetry-distinct sites (fractional):
Mn: 0.0000 0.0897 0.2500 [4 per cell]
Cu: 0.0000 0.4283 0.2500 [4 per cell]
Ag: 0.2500 0.2500 0.0000 [4 per cell]
Cl: 0.0000 0.1261 0.7500 [4 per cell]
Cl: 0.0376 0.2662 0.4099 [8 per cell]
Cl: 0.2101 0.4175 0.7839 [8 per cell]

Most intense lines, 10° ≤ 2θ ≤ 90°, in order of falling intensity:
- 2θ 17.1, rel. 100.0, (1 1 1)
- 2θ 24.2, rel. 92.6, (0 2 2)
- 2θ 39.2, rel. 39.2, (1 3 3)
- 2θ 35.7, rel. 32.9, (3 1 -1)
- 2θ 27.0, rel. 31.9, (2 0 -2)
- 2θ 39.0, rel. 28.2, (0 4 2)
- 2θ 34.0, rel. 23.9, (0 0 4)
- 2θ 49.2, rel. 22.0, (3 3 -3)
- 2θ 53.5, rel. 20.4, (0 6 0)
- 2θ 45.1, rel. 18.2, (3 3 1)
- 2θ 43.2, rel. 17.5, (2 2 -4)
- 2θ 30.2, rel. 16.3, (1 1 3)


2.
For PuZr3Sc2, a cell relaxed with PBE gives the simulated X-ray diffraction stick pattern in this record (copper Kα).
Peak positions follow from Bragg's law for the DFT cell and can differ from measured ones.

Crystal structure
Cell lengths 6.5442, 8.6132, 10.8258 Å; angles 73.44, 81.13, 78.67 degrees
Space group P1 (No. 1)
Symmetry-distinct sites (fractional):
Pu: 0.0000 0.0000 0.0000 [1 per cell]
Pu: 0.0754 0.1800 0.4872 [1 per cell]
Pu: 0.3237 0.6779 0.9913 [1 per cell]
Pu: 0.7488 0.5030 0.4934 [1 per cell]
Zr: 0.0680 0.4877 0.2393 [1 per cell]
Zr: 0.1479 0.6442 0.7455 [1 per cell]
Zr: 0.2374 0.8174 0.2447 [1 per cell]
Zr: 0.3185 0.9862 0.7431 [1 per cell]
Zr: 0.4011 0.1465 0.2439 [1 per cell]
Zr: 0.4810 0.3185 0.7425 [1 per cell]
Zr: 0.5634 0.4809 0.2452 [1 per cell]
Zr: 0.6523 0.6491 0.7436 [1 per cell]
Zr: 0.7268 0.8165 0.2445 [1 per cell]
Zr: 0.8217 0.9838 0.7429 [1 per cell]
Zr: 0.8939 0.1486 0.2457 [1 per cell]
Zr: 0.9882 0.3147 0.7456 [1 per cell]
Sc: 0.1586 0.3382 0.9933 [1 per cell]
Sc: 0.2440 0.5069 0.4947 [1 per cell]
Sc: 0.4112 0.8414 0.4940 [1 per cell]
Sc: 0.5000 0.0091 0.9910 [1 per cell]
Sc: 0.5726 0.1713 0.4960 [1 per cell]
Sc: 0.6621 0.3410 0.9962 [1 per cell]
Sc: 0.8201 0.6744 0.9917 [1 per cell]
Sc: 0.9066 0.8395 0.4968 [1 per cell]

Most intense lines, 10° ≤ 2θ ≤ 90°, in order of falling intensity:
- 2θ 36.3, rel. 100.0, (-2 1 2)
- 2θ 36.1, rel. 54.4, (2 2 3)
- 2θ 34.8, rel. 37.9, (0 0 4)
- 2θ 31.8, rel. 26.5, (0 3 1)
- 2θ 16.2, rel. 21.3, (1 1 1)
- 2θ 63.3, rel. 18.7, (-2 1 6)
- 2θ 20.3, rel. 16.3, (1 1 2)
- 2θ 47.8, rel. 13.2, (0 3 5)
- 2θ 67.9, rel. 11.3, (2 5 6)
- 2θ 15.5, rel. 11.2, (0 1 -1)
- 2θ 11.9, rel. 11.1, (0 1 1)
- 2θ 67.8, rel. 11.0, (4 1 -3)


3.
For DyS6Br2, a cell relaxed with PBE gives the simulated X-ray diffraction stick pattern in this record (copper Kα).
Peak positions follow from Bragg's law for the DFT cell and can differ from measured ones.

Crystal structure
Cell lengths 4.1964, 8.4439, 9.0984 Å; angles 115.59, 93.06, 91.75 degrees
Space group P-1 (No. 2)
Symmetry-distinct sites (fractional):
Dy: 0.0000 0.0000 0.0000 [1 per cell]
S: 0.0976 0.4999 0.7217 [2 per cell]
S: 0.0985 0.7168 0.4603 [2 per cell]
S: 0.1239 0.2914 0.2967 [2 per cell]
Br: 0.4995 0.8598 0.1178 [2 per cell]

Most intense lines, 10° ≤ 2θ ≤ 90°, in order of falling intensity:
- 2θ 12.0, rel. 100.0, (0 1 -1)
- 2θ 10.8, rel. 68.2, (0 0 1)
- 2θ 19.1, rel. 60.2, (0 1 1)
- 2θ 11.6, rel. 46.3, (0 1 0)
- 2θ 29.6, rel. 38.8, (1 -2 1)
- 2θ 28.4, rel. 38.5, (1 1 -2)
- 2θ 28.9, rel. 30.9, (0 1 2)
- 2θ 29.9, rel. 23.8, (0 2 1)
- 2θ 24.5, rel. 18.8, (1 -1 1)
- 2θ 39.6, rel. 18.7, (1 3 -1)
- 2θ 24.4, rel. 18.2, (1 1 -1)
- 2θ 37.2, rel. 18.0, (1 2 -3)


4.
For Pm5MgBi2, a cell relaxed with PBE gives the simulated X-ray diffraction stick pattern in this record (copper Kα).
Peak positions follow from Bragg's law for the DFT cell and can differ from measured ones.

Crystal structure
Cell lengths 5.5986, 12.1316, 15.5416 Å; angles 90.00, 90.00, 90.00 degrees
Space group Cmcm (No. 63)
Symmetry-distinct sites (fractional):
Pm: 0.0000 0.0638 0.1002 [8 per cell]
Pm: 0.0000 0.3754 0.0466 [8 per cell]
Pm: 0.0000 0.4221 0.7500 [4 per cell]
Mg: 0.0000 0.2847 0.2500 [4 per cell]
Bi: 0.0000 0.2100 0.6240 [8 per cell]

Most intense lines, 10° ≤ 2θ ≤ 90°, in order of falling intensity:
- 2θ 32.3, rel. 100.0, (1 3 3)
- 2θ 28.9, rel. 59.6, (1 1 4)
- 2θ 32.0, rel. 54.5, (2 0 0)
- 2θ 30.0, rel. 30.6, (0 4 1)
- 2θ 33.8, rel. 25.9, (1 1 5)
- 2θ 18.4, rel. 22.6, (1 1 1)
- 2θ 44.4, rel. 21.2, (2 4 1)
- 2θ 57.2, rel. 20.1, (3 3 3)
- 2θ 27.8, rel. 16.0, (1 3 1)
- 2θ 22.6, rel. 14.7, (0 2 3)
- 2θ 40.5, rel. 13.6, (1 5 0)
- 2θ 60.8, rel. 13.3, (1 7 4)


5.
For Y12Mn5Co2, a cell relaxed with PBE gives the simulated X-ray diffraction stick pattern in this record (copper Kα).
Peak positions follow from Bragg's law for the DFT cell and can differ from measured ones.

Crystal structure
Cell lengths 9.9758, 9.9758, 17.3567 Å; angles 90.00, 90.00, 120.00 degrees
Space group R-3m (No. 166, hexagonal axes)
Symmetry-distinct sites (fractional):
Y: 0.0000 0.3120 0.0000 [18 per cell]
Y: 0.0879 0.5440 0.8476 [18 per cell]
Mn: 0.0000 0.0000 0.0579 [6 per cell]
Mn: 0.0000 0.5000 0.5000 [9 per cell]
Co: 0.0000 0.0000 0.3015 [6 per cell]

Most intense lines, 10° ≤ 2θ ≤ 90°, in order of falling intensity:
- 2θ 34.8, rel. 100.0, (3 0 3)
- 2θ 11.4, rel. 35.6, (1 0 1)
- 2θ 30.9, rel. 32.0, (0 0 6)
- 2θ 37.9, rel. 27.7, (1 2 5)
- 2θ 55.2, rel. 16.1, (3 3 0)
- 2θ 35.9, rel. 14.9, (1 1 6)
- 2θ 47.0, rel. 14.3, (2 3 2)
- 2θ 31.1, rel. 13.4, (3 0 0)
- 2θ 64.7, rel. 13.1, (3 3 6)
- 2θ 39.3, rel. 12.5, (2 2 3)
- 2θ 57.5, rel. 11.2, (3 0 9)
- 2θ 63.6, rel. 10.6, (2 3 8)


6.
For SrHo2CrN4, a cell relaxed with PBE gives the simulated X-ray diffraction stick pattern in this record (copper Kα).
Peak positions follow from Bragg's law for the DFT cell and can differ from measured ones.

Crystal structure
Cell lengths 3.4232, 11.8572, 11.6608 Å; angles 90.00, 90.00, 90.00 degrees
Space group Cmcm (No. 63)
Symmetry-distinct sites (fractional):
Sr: 0.0000 0.0910 0.2500 [4 per cell]
Ho: 0.0000 0.3701 0.0417 [8 per cell]
Cr: 0.0000 0.1761 0.7500 [4 per cell]
N: 0.0000 0.0000 0.0000 [4 per cell]
N: 0.0000 0.2595 0.6218 [8 per cell]
N: 0.0000 0.4037 0.2500 [4 per cell]

Most intense lines, 10° ≤ 2θ ≤ 90°, in order of falling intensity:
- 2θ 31.2, rel. 100.0, (1 1 2)
- 2θ 38.0, rel. 64.8, (1 3 2)
- 2θ 27.4, rel. 56.1, (0 2 3)
- 2θ 30.1, rel. 47.0, (0 4 0)
- 2θ 15.2, rel. 33.8, (0 0 2)
- 2θ 30.7, rel. 31.6, (0 0 4)
- 2θ 35.5, rel. 30.4, (1 3 1)
- 2θ 52.8, rel. 25.4, (1 3 5)
- 2θ 47.8, rel. 25.2, (1 1 5)
- 2θ 41.6, rel. 24.8, (0 2 5)
- 2θ 34.7, rel. 20.7, (1 3 0)
- 2θ 52.5, rel. 20.7, (1 5 3)


7.
For Ac4Pr7Er, a cell relaxed with PBE gives the simulated X-ray diffraction stick pattern in this record (copper Kα).
Peak positions follow from Bragg's law for the DFT cell and can differ from measured ones.

Crystal structure
Cell lengths 6.6174, 7.5880, 9.5004 Å; angles 90.11, 103.44, 90.17 degrees
Space group P-1 (No. 2)
Symmetry-distinct sites (fractional):
Ac: 0.2180 0.2401 0.1719 [2 per cell]
Ac: 0.2751 0.4998 0.8291 [2 per cell]
Pr: 0.0041 0.7558 0.4974 [2 per cell]
Pr: 0.2250 0.7535 0.1771 [2 per cell]
Pr: 0.2850 0.0005 0.8258 [2 per cell]
Pr: 0.5000 0.5000 0.5000 [1 per cell]
Er: 0.5000 0.0000 0.5000 [1 per cell]

Most intense lines, 10° ≤ 2θ ≤ 90°, in order of falling intensity:
- 2θ 30.0, rel. 100.0, (2 0 -2)
- 2θ 31.6, rel. 72.1, (-1 2 2)
- 2θ 29.0, rel. 71.5, (0 0 3)
- 2θ 30.1, rel. 46.4, (1 2 1)
- 2θ 31.5, rel. 40.0, (2 0 1)
- 2θ 27.3, rel. 29.6, (1 2 0)
- 2θ 51.0, rel. 26.0, (2 0 -5)
- 2θ 27.9, rel. 23.8, (1 2 -1)
- 2θ 56.7, rel. 22.0, (3 -2 2)
- 2θ 56.8, rel. 21.5, (3 2 2)
- 2θ 47.6, rel. 18.7, (-3 2 1)
- 2θ 47.8, rel. 18.2, (3 2 -1)


8.
For Li6SiAs4, a cell relaxed with PBE gives the simulated X-ray diffraction stick pattern in this record (copper Kα).
Peak positions follow from Bragg's law for the DFT cell and can differ from measured ones.

Crystal structure
Cell lengths 8.7969, 8.7969, 5.8540 Å; angles 90.00, 90.00, 120.00 degrees
Space group P6_3mc (No. 186)
Symmetry-distinct sites (fractional):
Li: 0.0207 0.5103 0.0000 [6 per cell]
Li: 0.1585 0.3171 0.2507 [6 per cell]
Si: 0.3333 0.6667 0.6585 [2 per cell]
As: 0.1827 0.3653 0.7544 [6 per cell]
As: 0.3333 0.6667 0.2499 [2 per cell]

Most intense lines, 10° ≤ 2θ ≤ 90°, in order of falling intensity:
- 2θ 27.9, rel. 100.0, (2 0 1)
- 2θ 41.0, rel. 39.7, (2 2 0)
- 2θ 23.4, rel. 38.5, (2 0 0)
- 2θ 52.0, rel. 29.5, (2 2 2)
- 2θ 30.5, rel. 26.7, (0 0 2)
- 2θ 38.8, rel. 25.9, (2 0 2)
- 2θ 52.7, rel. 20.9, (2 0 3)
- 2θ 50.4, rel. 16.0, (4 0 1)
- 2θ 11.6, rel. 15.2, (1 0 0)
- 2θ 66.9, rel. 10.2, (4 2 1)
- 2θ 78.5, rel. 8.5, (2 2 4)
- 2θ 68.9, rel. 7.9, (4 0 3)